The following is a theoretical powder X-ray diffraction pattern of NdEr2Tc. It was derived from a crystal structure in Alexandria, relaxed with GGA-PBE, using a wavelength of 1.5418 Å.
Intensities are scaled so that the largest is 100.

Peak list (6 most intense, 2θ = 15–90°, low angle first)
| d_spacing | I (rel.) | index |
| --- | --- | --- |
| 2.917 | 76 | 1 0 2 |
| 2.896 | 73 | 2 2 0 |
| 2.778 | 100 | 1 1 2 |
| 2.738 | 94 | 0 3 1 |
| 2.633 | 85 | 2 2 1 |
| 2.572 | 87 | 1 3 1 |

Structural model:
Unit cell a=7.504 b=9.108 c=6.332 alpha=90.00 beta=90.00 gamma=90.00
Space group Pnma (No. 62)
Inequivalent atoms, fractional coordinates:
1 Nd 0.042 0.250 0.125 x4
2 Er 0.175 0.064 0.657 x8
3 Tc 0.116 0.750 0.453 x4

***

The following is a theoretical powder X-ray diffraction pattern of CrAgOs2. It was derived from a crystal structure in Alexandria, relaxed with GGA-PBE, using a wavelength of 1.5418 Å.
Intensities are scaled so that the largest is 100.

Peak list (6 most intense, 2θ = 15–90°, low angle first)
| d_spacing | I (rel.) | index |
| --- | --- | --- |
| 5.619 | 54 | 0 0 1 |
| 2.268 | 96 | 0 1 2 |
| 2.246 | 100 | 1 1 0 |
| 1.972 | 63 | 1 0 2 |
| 1.922 | 31 | 0 2 0 |
| 1.376 | 38 | 1 2 2 |

Structural model:
Unit cell a=2.768 b=3.845 c=5.619 alpha=90.00 beta=90.00 gamma=90.00
Space group Pmm2 (No. 25)
Inequivalent atoms, fractional coordinates:
1 Cr 0.000 0.000 0.000 x1
2 Ag 0.500 0.500 0.738 x1
3 Os 0.000 0.000 0.447 x1
4 Os 0.500 0.500 0.241 x1

***

The following is a theoretical powder X-ray diffraction pattern of ThB3H12. It was derived from a crystal structure in Alexandria, relaxed with GGA-PBE, using a wavelength of 1.5418 Å.
Intensities are scaled so that the largest is 100.

Peak list (6 most intense, 2θ = 15–90°, low angle first)
| d_spacing | I (rel.) | index |
| --- | --- | --- |
| 5.701 | 100 | 0 1 2 |
| 4.031 | 68 | 1 1 0 |
| 2.850 | 21 | 0 2 4 |
| 2.549 | 51 | 1 2 2 |
| 2.325 | 26 | 3 0 0 |
| 1.899 | 22 | 0 3 6 |

Structural model:
Unit cell a=8.0489 b=8.0489 c=19.8136 alpha=90.00 beta=90.00 gamma=120.00
Space group R-3c (No. 167, hexagonal axes)
Inequivalent atoms, fractional coordinates:
1 Th 0.0000 0.0000 0.0000 x6
2 B 0.0000 0.4980 0.2500 x18
3 H 0.0036 0.1922 0.5927 x36
4 H 0.0191 0.4214 0.6998 x36

***

The following is a theoretical powder X-ray diffraction pattern of TlAgTeO3. It was derived from a crystal structure in Alexandria, relaxed with GGA-PBE, using a wavelength of 1.5418 Å.
Intensities are scaled so that the largest is 100.

Peak list (6 most intense, 2θ = 15–90°, low angle first)
| d_spacing | I (rel.) | index |
| --- | --- | --- |
| 3.114 | 100 | 2 3 1 |
| 2.881 | 32 | 4 0 0 |
| 2.664 | 25 | 0 0 2 |
| 1.956 | 17 | 4 0 2 |
| 1.919 | 17 | 4 6 0 |
| 1.704 | 18 | 6 3 1 |

Structural model:
Unit cell a=11.521 b=15.430 c=5.329 alpha=90.00 beta=90.00 gamma=90.00
Space group Iba2 (No. 45)
Inequivalent atoms, fractional coordinates:
1 Tl 0.126 0.097 0.000 x8
2 Ag 0.110 0.243 0.478 x8
3 Te 0.138 0.390 0.967 x8
4 O 0.104 0.270 0.014 x8
5 O 0.151 0.390 0.612 x8
6 O 0.201 0.110 0.544 x8

***

The following is a theoretical powder X-ray diffraction pattern of Zr2Tl2AgTe6. It was derived from a crystal structure in Alexandria, relaxed with GGA-PBE, using a wavelength of 1.5418 Å.
Intensities are scaled so that the largest is 100.

Peak list (6 most intense, 2θ = 15–90°, low angle first)
| d_spacing | I (rel.) | index |
| --- | --- | --- |
| 3.124 | 100 | 1 3 1 |
| 3.102 | 52 | 2 0 -2 |
| 2.348 | 37 | 1 3 -3 |
| 2.337 | 20 | 2 0 2 |
| 2.079 | 34 | 3 3 -1 |
| 1.739 | 18 | 2 6 -2 |

Structural model:
Unit cell a=7.180 b=12.601 c=8.559 alpha=90.00 beta=106.27 gamma=90.00
Space group C2/m (No. 12)
Inequivalent atoms, fractional coordinates:
1 Zr 0.000 0.169 0.000 x4
2 Tl 0.000 0.335 0.500 x4
3 Ag 0.000 0.500 0.000 x2
4 Te 0.227 0.000 0.202 x4
5 Te 0.243 0.328 0.210 x8

***

The following is a theoretical powder X-ray diffraction pattern of BP2RhC. It was derived from a crystal structure in Alexandria, relaxed with GGA-PBE, using a wavelength of 1.5418 Å.
Intensities are scaled so that the largest is 100.

Peak list (6 most intense, 2θ = 15–90°, low angle first)
| d_spacing | I (rel.) | index |
| --- | --- | --- |
| 5.176 | 100 | 0 0 1 |
| 4.040 | 79 | 2 0 -1 |
| 2.717 | 75 | 1 1 0 |
| 2.623 | 58 | 1 1 -1 |
| 2.588 | 52 | 0 0 2 |
| 2.008 | 49 | 3 1 -1 |

Structural model:
Unit cell a=8.259 b=2.939 c=5.999 alpha=90.00 beta=120.37 gamma=90.00
Space group Cm (No. 8)
Inequivalent atoms, fractional coordinates:
1 B 0.000 0.000 0.000 x2
2 P 0.142 0.000 0.808 x2
3 P 0.145 0.500 0.268 x2
4 Rh 0.456 0.500 0.358 x2
5 C 0.292 0.500 0.925 x2

***

The following is a theoretical powder X-ray diffraction pattern of CaRe4. It was derived from a crystal structure in Alexandria, relaxed with GGA-PBE, using a wavelength of 1.5418 Å.
Intensities are scaled so that the largest is 100.

Peak list (6 most intense, 2θ = 15–90°, low angle first)
| d_spacing | I (rel.) | index |
| --- | --- | --- |
| 2.876 | 100 | 2 0 0 |
| 2.034 | 95 | 2 2 0 |
| 1.661 | 27 | 2 2 2 |
| 1.438 | 16 | 4 0 0 |
| 1.286 | 35 | 4 2 0 |
| 1.174 | 33 | 4 2 2 |

Structural model:
Unit cell a=5.752 b=5.752 c=5.752 alpha=90.00 beta=90.00 gamma=90.00
Space group Im-3m (No. 229)
Inequivalent atoms, fractional coordinates:
1 Ca 0.000 0.000 0.000 x2
2 Re 0.250 0.250 0.250 x8

***

The following is a theoretical powder X-ray diffraction pattern of Na4CaTh3Se8. It was derived from a crystal structure in Alexandria, relaxed with GGA-PBE, using a wavelength of 1.5418 Å.
Intensities are scaled so that the largest is 100.

Peak list (6 most intense, 2θ = 15–90°, low angle first)
| d_spacing | I (rel.) | index |
| --- | --- | --- |
| 3.600 | 27 | 0 2 1 |
| 3.009 | 100 | 0 2 4 |
| 2.147 | 38 | 2 0 8 |
| 2.109 | 37 | 2 2 0 |
| 1.727 | 20 | 4 0 4 |
| 1.356 | 17 | 2 2 12 |

Structural model:
Unit cell a=8.4360 b=8.4360 c=21.2335 alpha=90.00 beta=90.00 gamma=120.00
Space group R-3m (No. 166, hexagonal axes)
Inequivalent atoms, fractional coordinates:
1 Na 0.0000 0.0000 0.0000 x3
2 Na 0.0000 0.5000 0.0000 x9
3 Ca 0.0000 0.0000 0.5000 x3
4 Th 0.0000 0.5000 0.5000 x9
5 Se 0.0000 0.0000 0.2477 x6
6 Se 0.0023 0.5011 0.7540 x18

***

The following is a theoretical powder X-ray diffraction pattern of InSn3Hg4. It was derived from a crystal structure in Alexandria, relaxed with GGA-PBE, using a wavelength of 1.5418 Å.
Intensities are scaled so that the largest is 100.

Peak list (6 most intense, 2θ = 15–90°, low angle first)
| d_spacing | I (rel.) | index |
| --- | --- | --- |
| 3.117 | 85 | 1 1 0 |
| 2.986 | 84 | 4 0 -2 |
| 2.907 | 100 | 0 0 4 |
| 2.513 | 47 | 3 1 -1 |
| 2.274 | 33 | 1 1 -4 |
| 1.988 | 33 | 3 1 -5 |

Structural model:
Unit cell a=11.950 b=3.260 c=12.899 alpha=90.00 beta=115.64 gamma=90.00
Space group Cm (No. 8)
Inequivalent atoms, fractional coordinates:
1 In 0.000 0.000 0.000 x2
2 Sn 0.066 0.000 0.497 x2
3 Sn 0.269 0.000 0.008 x2
4 Sn 0.294 0.500 0.487 x2
5 Hg 0.151 0.500 0.232 x2
6 Hg 0.164 0.000 0.752 x2
7 Hg 0.399 0.500 0.744 x2
8 Hg 0.415 0.500 0.243 x2

***

The following is a theoretical powder X-ray diffraction pattern of PrTm12Sc2. It was derived from a crystal structure in Alexandria, relaxed with GGA-PBE, using a wavelength of 1.5418 Å.
Intensities are scaled so that the largest is 100.

Peak list (6 most intense, 2θ = 15–90°, low angle first)
| d_spacing | I (rel.) | index |
| --- | --- | --- |
| 2.829 | 100 | 1 1 1 |
| 2.773 | 93 | 0 16 1 |
| 2.533 | 66 | 1 15 0 |
| 2.378 | 44 | 0 0 2 |
| 1.734 | 42 | 1 15 2 |
| 1.496 | 31 | 1 31 1 |

Structural model:
Unit cell a=3.527 b=54.592 c=4.757 alpha=90.00 beta=90.00 gamma=90.00
Space group Cmmm (No. 65)
Inequivalent atoms, fractional coordinates:
1 Pr 0.000 0.000 0.000 x2
2 Tm 0.000 0.066 0.000 x4
3 Tm 0.000 0.192 0.000 x4
4 Tm 0.000 0.276 0.500 x4
5 Tm 0.000 0.339 0.500 x4
6 Tm 0.000 0.401 0.500 x4
7 Tm 0.000 0.466 0.500 x4
8 Sc 0.000 0.130 0.000 x4

***

The following is a theoretical powder X-ray diffraction pattern of SrMg5Tl3. It was derived from a crystal structure in Alexandria, relaxed with GGA-PBE, using a wavelength of 1.5418 Å.
Intensities are scaled so that the largest is 100.

Peak list (6 most intense, 2θ = 15–90°, low angle first)
| d_spacing | I (rel.) | index |
| --- | --- | --- |
| 3.959 | 100 | 0 2 3 |
| 3.785 | 74 | 1 1 2 |
| 3.736 | 72 | 0 4 0 |
| 3.077 | 73 | 1 3 2 |
| 2.762 | 67 | 1 1 4 |
| 2.376 | 46 | 1 1 5 |

Structural model:
Unit cell a=4.717 b=14.944 c=14.004 alpha=90.00 beta=90.00 gamma=90.00
Space group Cmcm (No. 63)
Inequivalent atoms, fractional coordinates:
1 Sr 0.000 0.161 0.250 x4
2 Mg 0.000 0.000 0.000 x4
3 Mg 0.000 0.195 0.545 x8
4 Mg 0.000 0.423 0.141 x8
5 Tl 0.000 0.145 0.750 x4
6 Tl 0.000 0.388 0.577 x8

***

The following is a theoretical powder X-ray diffraction pattern of NdAl2Pd4. It was derived from a crystal structure in Alexandria, relaxed with GGA-PBE, using a wavelength of 1.5418 Å.
Intensities are scaled so that the largest is 100.

Peak list (6 most intense, 2θ = 15–90°, low angle first)
| d_spacing | I (rel.) | index |
| --- | --- | --- |
| 2.640 | 100 | 2 1 1 |
| 2.504 | 47 | 3 1 0 |
| 2.287 | 34 | 2 2 1 |
| 2.117 | 29 | 3 1 1 |
| 1.554 | 23 | 3 1 2 |
| 1.471 | 37 | 5 0 1 |

Structural model:
Unit cell a=7.920 b=7.920 c=3.961 alpha=90.00 beta=90.00 gamma=90.00
Space group P4_2/mnm (No. 136)
Inequivalent atoms, fractional coordinates:
1 Nd 0.000 0.000 0.000 x2
2 Al 0.224 0.224 0.500 x4
3 Pd 0.080 0.670 0.500 x8